# 1
Starting from a cell relaxed with GGA-PBE, the PXRD pattern of ZnSb2P2O10 was simulated for copper Kα.

Atomic structure:
Cell: 9.073 7.509 10.127 Å, 59.75 45.63 74.62°
Fractional positions:
Zn: 0.000 0.000 0.000
Zn: 0.250 0.250 0.250
Sb: 0.184 0.682 0.608
Sb: 0.642 0.725 0.066
Sb: 0.682 0.184 0.525
Sb: 0.725 0.642 0.568
P: 0.089 0.513 0.032
P: 0.218 0.885 0.161
P: 0.513 0.089 0.365
P: 0.885 0.218 0.737
O: 0.035 0.698 0.328
O: 0.037 0.213 0.759
O: 0.193 0.504 0.831
O: 0.209 0.979 0.270
O: 0.213 0.037 0.991
O: 0.259 0.491 0.037
O: 0.311 0.922 0.552
O: 0.419 0.777 0.057
O: 0.439 0.634 0.368
O: 0.491 0.259 0.213
O: 0.504 0.193 0.473
O: 0.634 0.439 0.559
O: 0.691 0.882 0.616
O: 0.698 0.035 0.939
O: 0.709 0.980 0.271
O: 0.777 0.419 0.746
O: 0.882 0.691 0.811
O: 0.922 0.311 0.215
O: 0.979 0.209 0.541
O: 0.980 0.709 0.041

Top 10 peaks for 2θ = 10–90°, low angle first:
2θ = 13.79°, intensity 32; 2θ = 20.90°, intensity 52; 2θ = 24.62°, intensity 100; 2θ = 25.42°, intensity 32; 2θ = 27.79°, intensity 98; 2θ = 30.66°, intensity 77; 2θ = 32.90°, intensity 22; 2θ = 36.65°, intensity 29; 2θ = 51.91°, intensity 29; 2θ = 57.37°, intensity 35



# 2
Starting from a cell relaxed with GGA-PBE, the PXRD pattern of Sc5P4O was simulated for copper Kα.

Atomic structure:
Cell: 6.343 6.343 6.343 Å, 99.98 99.98 130.80°
Fractional positions:
Sc: 0.000 0.000 0.000
Sc: 0.278 0.663 0.811
Sc: 0.467 0.278 0.614
Sc: 0.663 0.852 0.386
Sc: 0.852 0.467 0.189
P: 0.160 0.365 0.395
P: 0.365 0.969 0.205
P: 0.765 0.160 0.795
P: 0.969 0.765 0.605
O: 0.610 0.610 0.000

Top 10 peaks for 2θ = 10–90°, low angle first:
2θ = 29.77°, intensity 18; 2θ = 33.96°, intensity 49; 2θ = 34.78°, intensity 100; 2θ = 49.40°, intensity 62; 2θ = 50.01°, intensity 31; 2θ = 61.83°, intensity 29; 2θ = 73.43°, intensity 9; 2θ = 82.00°, intensity 11; 2θ = 83.41°, intensity 11; 2θ = 83.88°, intensity 12



# 3
Starting from a cell relaxed with GGA-PBE, the PXRD pattern of Sc2PO was simulated for copper Kα.

Atomic structure:
Cell: 5.126 5.121 10.742 Å, 90.00 116.60 90.00°
Fractional positions:
Sc: 0.105 0.219 0.110
Sc: 0.105 0.781 0.610
Sc: 0.324 0.233 0.861
Sc: 0.324 0.767 0.361
Sc: 0.676 0.233 0.639
Sc: 0.676 0.767 0.139
Sc: 0.895 0.219 0.390
Sc: 0.895 0.781 0.890
P: 0.378 0.264 0.375
P: 0.378 0.736 0.875
P: 0.622 0.264 0.125
P: 0.622 0.736 0.625
O: 0.086 0.208 0.624
O: 0.086 0.792 0.124
O: 0.914 0.208 0.876
O: 0.914 0.792 0.376

Top 10 peaks for 2θ = 10–90°, low angle first:
2θ = 30.57°, intensity 12; 2θ = 31.28°, intensity 14; 2θ = 35.04°, intensity 100; 2θ = 37.45°, intensity 41; 2θ = 50.39°, intensity 28; 2θ = 51.29°, intensity 12; 2θ = 52.22°, intensity 26; 2θ = 53.13°, intensity 14; 2θ = 63.63°, intensity 10; 2θ = 65.25°, intensity 13



# 4
Starting from a cell relaxed with GGA-PBE, the PXRD pattern of SiP2O7 was simulated for copper Kα.

Atomic structure:
Cell: 4.788 4.788 12.111 Å, 90.00 90.00 120.00°
Fractional positions:
Si: 0.000 0.000 0.000
Si: 0.000 0.000 0.500
P: 0.333 0.667 0.120
P: 0.333 0.667 0.380
P: 0.667 0.333 0.620
P: 0.667 0.333 0.880
O: 0.070 0.740 0.086
O: 0.070 0.740 0.414
O: 0.260 0.330 0.086
O: 0.260 0.330 0.414
O: 0.330 0.070 0.586
O: 0.330 0.070 0.914
O: 0.333 0.667 0.250
O: 0.667 0.333 0.750
O: 0.670 0.930 0.086
O: 0.670 0.930 0.414
O: 0.740 0.670 0.586
O: 0.740 0.670 0.914
O: 0.930 0.260 0.586
O: 0.930 0.260 0.914

Top 10 peaks for 2θ = 10–90°, low angle first:
2θ = 14.63°, intensity 54; 2θ = 22.67°, intensity 100; 2θ = 26.04°, intensity 31; 2θ = 29.50°, intensity 11; 2θ = 30.91°, intensity 23; 2θ = 36.75°, intensity 13; 2θ = 37.57°, intensity 13; 2θ = 43.97°, intensity 16; 2θ = 67.80°, intensity 10; 2θ = 74.10°, intensity 10